Diffraction record for BiSe2S6. The X-ray diffraction stick pattern is theoretical, not measured: it uses a cell relaxed with GGA-PBE and Cu Kα (λ = 1.5418 Å).

Top 6 peaks for 15° ≤ 2θ ≤ 90°, by intensity:
(1 0 1), 21.12°, rel. 100
(-1 1 1), 23.67°, rel. 59
(0 1 2), 27.18°, rel. 58
(0 2 0), 27.71°, rel. 56
(1 1 -2), 32.35°, rel. 50
(2 -1 0), 36.12°, rel. 49

Structural model:
```
data_BiSe2S6
_space_group_name_H-M_alt 'P -1'
_space_group_IT_number 2
_space_group_name_Hall '-P 1'
_cell_length_a 5.0976
_cell_length_b 6.5460
_cell_length_c 7.9502
_cell_angle_alpha 93.69
_cell_angle_beta 90.51
_cell_angle_gamma 99.70
loop_
_atom_site_label
_atom_site_fract_x
_atom_site_fract_y
_atom_site_fract_z
_atom_site_occupancy
Bi1 0.0000 0.0000 0.0000 1
Se1 0.1496 0.4186 0.8083 1
S1 0.1674 0.4143 0.1667 1
S2 0.4552 0.8715 0.5783 1
S3 0.4968 0.0151 0.8105 1
```